Entry 1:
The following is a simulated powder diffractogram of Dy4In2O. It was derived from a cell relaxed with GGA-PBE, using Cu Kα X-rays.
Peak positions follow from Bragg's law for the DFT cell and can differ from measured ones.

Cell lengths 8.8428, 8.8428, 8.8428 Å; angles 149.55, 149.55, 43.60 degrees
Positions (direct):
Dy 0.0000 0.5000 0.5000
Dy 0.1697 0.1697 0.0000
Dy 0.5000 0.0000 0.5000
Dy 0.8303 0.8303 0.0000
In 0.3615 0.3615 0.0000
In 0.6385 0.6385 0.0000
O 0.0000 0.0000 0.0000

Largest 10 diffraction maxima, sorted by position, 2θ from 10° to 90°:
2theta	d [Å]	intensity
29.29	3.049	95.4
32.72	2.737	40.3
33.42	2.681	20.9
34.99	2.564	100.0
38.78	2.322	68.0
51.62	1.771	44.3
56.01	1.642	23.2
64.45	1.446	20.7
66.40	1.408	20.6
67.77	1.383	29.2

***

Entry 2:
The following is a simulated powder diffractogram of Tb2ErRh3. It was derived from a cell relaxed with GGA-PBE, using Cu Kα X-rays.
Peak positions follow from Bragg's law for the DFT cell and can differ from measured ones.

Cell lengths 4.8471, 4.8471, 11.8439 Å; angles 90.00, 90.00, 120.00 degrees
Positions (direct):
Tb 0.0000 0.0000 0.0000
Tb 0.0000 0.0000 0.5000
Tb 0.3333 0.6667 0.1681
Tb 0.6667 0.3333 0.8319
Er 0.3333 0.6667 0.6658
Er 0.6667 0.3333 0.3342
Rh 0.0000 0.0000 0.2517
Rh 0.0000 0.0000 0.7483
Rh 0.3333 0.6667 0.4168
Rh 0.3333 0.6667 0.9150
Rh 0.6667 0.3333 0.0850
Rh 0.6667 0.3333 0.5832

Largest 10 diffraction maxima, sorted by position, 2θ from 10° to 90°:
2theta	d [Å]	intensity
26.02	3.425	5.1
37.13	2.422	100.0
45.87	1.978	1.2
53.52	1.712	17.4
60.45	1.532	2.2
66.89	1.399	26.5
67.03	1.396	8.7
79.02	1.212	5.5
79.17	1.210	5.5
84.92	1.142	0.9

***

Entry 3:
The following is a simulated powder diffractogram of CeMgZr7O16. It was derived from a cell relaxed with GGA-PBE, using Cu Kα X-rays.
Peak positions follow from Bragg's law for the DFT cell and can differ from measured ones.

Cell lengths 7.1490, 7.7372, 5.6543 Å; angles 90.00, 90.00, 90.00 degrees
Positions (direct):
Ce 0.0000 0.0000 0.0000
Mg 0.5000 0.0000 0.3500
Zr 0.0000 0.5000 0.9534
Zr 0.2326 0.2840 0.5018
Zr 0.2326 0.7160 0.5018
Zr 0.5000 0.0000 0.8664
Zr 0.5000 0.5000 0.0101
Zr 0.7674 0.2840 0.5018
Zr 0.7674 0.7160 0.5018
O 0.0000 0.2205 0.3010
O 0.0000 0.2599 0.7816
O 0.0000 0.7401 0.7816
O 0.0000 0.7795 0.3010
O 0.2319 0.5000 0.2132
O 0.2613 0.5000 0.7302
O 0.2822 0.0000 0.5925
O 0.2957 0.0000 0.1138
O 0.5000 0.2675 0.8244
O 0.5000 0.2743 0.3466
O 0.5000 0.7257 0.3466
O 0.5000 0.7325 0.8244
O 0.7043 0.0000 0.1138
O 0.7178 0.0000 0.5925
O 0.7387 0.5000 0.7302
O 0.7681 0.5000 0.2132

Largest 10 diffraction maxima, sorted by position, 2θ from 10° to 90°:
2theta	d [Å]	intensity
27.94	3.193	100.0
29.57	3.021	88.8
31.65	2.827	21.0
34.15	2.626	33.8
46.98	1.934	18.9
47.25	1.924	50.7
51.11	1.787	17.0
51.52	1.774	11.5
56.49	1.629	20.2
59.25	1.559	21.8